# 1
Computed X-ray diffraction stick pattern of Rb2LiZnBr6 for Cu Kα X-rays, from DFT lattice parameters and positions (PBE).
Lines closer than 0.1° are merged.

Top 6 peaks for 2θ = 10–80°, low angle first:
2θ/deg	d (Å)	intensity
28.9	3.092	100.0
33.5	2.678	80.0
48.1	1.893	56.0
57.0	1.615	41.7
59.8	1.546	19.1
77.7	1.229	17.0

```
data_Rb2LiZnBr6
_cell_length_a 7.5685
_cell_length_b 7.5685
_cell_length_c 10.7268
_cell_angle_alpha 90.00
_cell_angle_beta 90.00
_cell_angle_gamma 90.00
_space_group_name_H-M_alt 'I 4/m m m'
_space_group_IT_number 139
_space_group_name_Hall '-I 4 2'
loop_
_atom_site_label
_atom_site_type_symbol
_atom_site_fract_x
_atom_site_fract_y
_atom_site_fract_z
Rb1 Rb 0.0000 0.5000 0.2500
Li1 Li 0.0000 0.0000 0.0000
Zn1 Zn 0.0000 0.0000 0.5000
Br1 Br 0.0000 0.0000 0.2552
Br2 Br 0.2453 0.2453 0.5000
```

# 2
Computed X-ray diffraction stick pattern of Li2ReBr for Cu Kα X-rays, from DFT lattice parameters and positions (PBE).
Lines closer than 0.1° are merged.

Top 6 peaks for 2θ = 10–80°, low angle first:
2θ/deg	d (Å)	intensity
10.3	8.572	66.8
20.7	4.286	100.0
34.1	2.626	57.0
40.3	2.239	84.4
43.1	2.097	29.9
55.3	1.660	28.8

```
data_Li2ReBr
_cell_length_a 3.1350
_cell_length_b 4.8094
_cell_length_c 8.5716
_cell_angle_alpha 90.00
_cell_angle_beta 90.00
_cell_angle_gamma 90.00
_space_group_name_H-M_alt 'C m m m'
_space_group_IT_number 65
_space_group_name_Hall '-C 2 2'
loop_
_atom_site_label
_atom_site_type_symbol
_atom_site_fract_x
_atom_site_fract_y
_atom_site_fract_z
Li1 Li 0.0000 0.0000 0.2362
Re1 Re 0.0000 0.5000 0.5000
Br1 Br 0.0000 0.5000 0.0000
```

# 3
Computed X-ray diffraction stick pattern of Li2ReBr6 for Cu Kα X-rays, from DFT lattice parameters and positions (PBE).
Lines closer than 0.1° are merged.

Top 6 peaks for 2θ = 10–80°, low angle first:
2θ/deg	d (Å)	intensity
15.4	5.765	62.9
15.7	5.647	80.5
30.1	2.973	43.3
30.4	2.943	100.0
38.9	2.316	45.6
47.3	1.922	34.6

```
data_Li2ReBr6
_cell_length_a 6.5028
_cell_length_b 6.6853
_cell_length_c 11.3860
_cell_angle_alpha 90.00
_cell_angle_beta 90.00
_cell_angle_gamma 90.00
_space_group_name_H-M_alt 'P n n m'
_space_group_IT_number 58
_space_group_name_Hall '-P 2 2n'
loop_
_atom_site_label
_atom_site_type_symbol
_atom_site_fract_x
_atom_site_fract_y
_atom_site_fract_z
Li1 Li 0.0000 0.0000 0.1690
Re1 Re 0.0000 0.5000 0.0000
Br1 Br 0.2202 0.3356 0.1574
Br2 Br 0.2278 0.8069 0.0000
```

# 4
Computed X-ray diffraction stick pattern of Li2RuBr for Cu Kα X-rays, from DFT lattice parameters and positions (PBE).
Lines closer than 0.1° are merged.

Top 6 peaks for 2θ = 10–80°, low angle first:
2θ/deg	d (Å)	intensity
26.7	3.335	57.5
28.3	3.151	98.8
39.3	2.290	100.0
40.5	2.228	46.5
49.2	1.853	41.7
72.9	1.298	31.4

```
data_Li2RuBr
_cell_length_a 3.1508
_cell_length_b 3.1508
_cell_length_c 6.6693
_cell_angle_alpha 90.00
_cell_angle_beta 90.00
_cell_angle_gamma 90.00
_space_group_name_H-M_alt 'P 4/m m m'
_space_group_IT_number 123
_space_group_name_Hall '-P 4 2'
loop_
_atom_site_label
_atom_site_type_symbol
_atom_site_fract_x
_atom_site_fract_y
_atom_site_fract_z
Li1 Li 0.0000 0.0000 0.2345
Ru1 Ru 0.5000 0.5000 0.5000
Br1 Br 0.5000 0.5000 0.0000
```

# 5
Computed X-ray diffraction stick pattern of Li2Ru2Br for Cu Kα X-rays, from DFT lattice parameters and positions (PBE).
Lines closer than 0.1° are merged.

Top 6 peaks for 2θ = 10–80°, low angle first:
2θ/deg	d (Å)	intensity
11.2	7.868	79.8
22.6	3.934	88.1
38.8	2.320	100.0
51.3	1.782	36.8
53.4	1.717	18.6
58.7	1.573	25.4

```
data_Li2Ru2Br
_cell_length_a 3.4334
_cell_length_b 3.4334
_cell_length_c 15.7355
_cell_angle_alpha 90.00
_cell_angle_beta 90.00
_cell_angle_gamma 90.00
_space_group_name_H-M_alt 'I 4/m m m'
_space_group_IT_number 139
_space_group_name_Hall '-I 4 2'
loop_
_atom_site_label
_atom_site_type_symbol
_atom_site_fract_x
_atom_site_fract_y
_atom_site_fract_z
Li1 Li 0.0000 0.0000 0.0982
Ru1 Ru 0.0000 0.5000 0.2500
Br1 Br 0.0000 0.0000 0.5000
```

# 6
Computed X-ray diffraction stick pattern of LiRuBr for Cu Kα X-rays, from DFT lattice parameters and positions (PBE).
Lines closer than 0.1° are merged.

Top 6 peaks for 2θ = 10–80°, low angle first:
2θ/deg	d (Å)	intensity
17.2	5.167	26.6
25.9	3.445	32.4
28.1	3.179	100.0
36.1	2.489	27.3
42.5	2.129	31.0
48.5	1.875	40.6

```
data_LiRuBr
_cell_length_a 3.7507
_cell_length_b 3.7507
_cell_length_c 31.0039
_cell_angle_alpha 90.00
_cell_angle_beta 90.00
_cell_angle_gamma 120.00
_space_group_name_H-M_alt 'R 3 m'
_space_group_IT_number 160
_space_group_name_Hall 'R 3 -2"'
loop_
_atom_site_label
_atom_site_type_symbol
_atom_site_fract_x
_atom_site_fract_y
_atom_site_fract_z
Li1 Li 0.0000 0.0000 0.0000
Li2 Li 0.0000 0.0000 0.1065
Ru1 Ru 0.0000 0.0000 0.2644
Ru2 Ru 0.0000 0.0000 0.9012
Br1 Br 0.0000 0.0000 0.3848
Br2 Br 0.0000 0.0000 0.8202
```

# 7
Computed X-ray diffraction stick pattern of LiRuBr2 for Cu Kα X-rays, from DFT lattice parameters and positions (PBE).
Lines closer than 0.1° are merged.

Top 6 peaks for 2θ = 10–80°, low angle first:
2θ/deg	d (Å)	intensity
12.5	7.109	56.4
28.4	3.146	54.9
30.6	2.926	20.2
37.8	2.382	100.0
56.6	1.626	30.0
57.4	1.605	14.4

```
data_LiRuBr2
_cell_length_a 3.7321
_cell_length_b 6.2924
_cell_length_c 7.1091
_cell_angle_alpha 90.00
_cell_angle_beta 90.00
_cell_angle_gamma 90.00
_space_group_name_H-M_alt 'C m m m'
_space_group_IT_number 65
_space_group_name_Hall '-C 2 2'
loop_
_atom_site_label
_atom_site_type_symbol
_atom_site_fract_x
_atom_site_fract_y
_atom_site_fract_z
Li1 Li 0.0000 0.0000 0.0000
Ru1 Ru 0.0000 0.0000 0.5000
Br1 Br 0.0000 0.5000 0.2567
```

# 8
Computed X-ray diffraction stick pattern of LiRuBr for Cu Kα X-rays, from DFT lattice parameters and positions (PBE).
Lines closer than 0.1° are merged.

Top 6 peaks for 2θ = 10–80°, low angle first:
2θ/deg	d (Å)	intensity
27.2	3.279	56.1
28.0	3.192	100.0
37.7	2.386	81.8
45.6	1.988	60.7
47.1	1.931	24.2
54.4	1.687	27.7

```
data_LiRuBr
_cell_length_a 3.3742
_cell_length_b 3.3744
_cell_length_c 9.8371
_cell_angle_alpha 90.00
_cell_angle_beta 90.19
_cell_angle_gamma 90.00
_space_group_name_H-M_alt 'P 1 21/m 1'
_space_group_IT_number 11
_space_group_name_Hall '-P 2yb'
loop_
_atom_site_label
_atom_site_type_symbol
_atom_site_fract_x
_atom_site_fract_y
_atom_site_fract_z
Li1 Li 0.2488 0.2500 0.2597
Ru1 Ru 0.2505 0.2500 0.5484
Br1 Br 0.2523 0.2500 0.8245
```

# 9
Computed X-ray diffraction stick pattern of Li5S2Br for Cu Kα X-rays, from DFT lattice parameters and positions (PBE).
Lines closer than 0.1° are merged.

Top 6 peaks for 2θ = 10–80°, low angle first:
2θ/deg	d (Å)	intensity
26.1	3.413	52.2
26.5	3.364	100.0
26.7	3.336	49.3
30.6	2.922	48.1
43.5	2.079	30.8
52.2	1.754	38.8

```
data_Li5S2Br
_cell_length_a 10.2377
_cell_length_b 8.2488
_cell_length_c 7.0589
_cell_angle_alpha 90.00
_cell_angle_beta 90.07
_cell_angle_gamma 90.00
_space_group_name_H-M_alt 'P 1 21/c 1'
_space_group_IT_number 14
_space_group_name_Hall '-P 2ybc'
loop_
_atom_site_label
_atom_site_type_symbol
_atom_site_fract_x
_atom_site_fract_y
_atom_site_fract_z
Li1 Li 0.0648 0.1374 0.0798
Li2 Li 0.0950 0.6045 0.0880
Li3 Li 0.2464 0.6412 0.7513
Li4 Li 0.4030 0.6213 0.3886
Li5 Li 0.4149 0.1172 0.4467
S1 S 0.0162 0.6250 0.7481
S2 S 0.3447 0.6400 0.0647
Br1 Br 0.3377 0.1216 0.0941
```

# 10
Computed X-ray diffraction stick pattern of LiSBr for Cu Kα X-rays, from DFT lattice parameters and positions (PBE).
Lines closer than 0.1° are merged.

Top 6 peaks for 2θ = 10–80°, low angle first:
2θ/deg	d (Å)	intensity
23.4	3.805	80.7
24.4	3.648	51.3
28.4	3.141	100.0
29.7	3.010	37.9
43.5	2.082	46.5
45.9	1.977	34.8

```
data_LiSBr
_cell_length_a 7.2091
_cell_length_b 4.2354
_cell_length_c 11.4625
_cell_angle_alpha 90.00
_cell_angle_beta 95.30
_cell_angle_gamma 90.00
_space_group_name_H-M_alt 'C 1 2/m 1'
_space_group_IT_number 12
_space_group_name_Hall '-C 2y'
loop_
_atom_site_label
_atom_site_type_symbol
_atom_site_fract_x
_atom_site_fract_y
_atom_site_fract_z
Li1 Li 0.1542 0.0000 0.4081
S1 S 0.1247 0.0000 0.0378
Br1 Br 0.1886 0.0000 0.6388
```

# 11
Computed X-ray diffraction stick pattern of LiTcSbBr for Cu Kα X-rays, from DFT lattice parameters and positions (PBE).
Lines closer than 0.1° are merged.

Top 6 peaks for 2θ = 10–80°, low angle first:
2θ/deg	d (Å)	intensity
12.3	7.183	100.0
24.8	3.592	56.5
26.2	3.407	71.0
36.2	2.480	90.1
40.6	2.223	89.9
44.4	2.041	46.2

```
data_LiTcSbBr
_cell_length_a 3.5072
_cell_length_b 3.5072
_cell_length_c 14.3661
_cell_angle_alpha 90.00
_cell_angle_beta 90.00
_cell_angle_gamma 90.00
_space_group_name_H-M_alt 'I 4 m m'
_space_group_IT_number 107
_space_group_name_Hall 'I 4 -2'
loop_
_atom_site_label
_atom_site_type_symbol
_atom_site_fract_x
_atom_site_fract_y
_atom_site_fract_z
Li1 Li 0.0000 0.0000 0.0000
Tc1 Tc 0.0000 0.0000 0.6304
Sb1 Sb 0.0000 0.0000 0.2017
Br1 Br 0.0000 0.0000 0.4471
```

# 12
Computed X-ray diffraction stick pattern of LiTcSbBr for Cu Kα X-rays, from DFT lattice parameters and positions (PBE).
Lines closer than 0.1° are merged.

Top 6 peaks for 2θ = 10–80°, low angle first:
2θ/deg	d (Å)	intensity
13.3	6.671	100.0
25.1	3.547	75.8
26.7	3.335	62.3
28.4	3.148	89.8
36.8	2.445	54.5
43.4	2.087	67.0

```
data_LiTcSbBr
_cell_length_a 7.3029
_cell_length_b 4.0587
_cell_length_c 6.6730
_cell_angle_alpha 90.00
_cell_angle_beta 91.43
_cell_angle_gamma 90.00
_space_group_name_H-M_alt 'C 1 m 1'
_space_group_IT_number 8
_space_group_name_Hall 'C -2y'
loop_
_atom_site_label
_atom_site_type_symbol
_atom_site_fract_x
_atom_site_fract_y
_atom_site_fract_z
Li1 Li 0.0000 0.0000 0.0000
Tc1 Tc 0.3416 0.0000 0.5675
Sb1 Sb 0.1719 0.5000 0.7048
Br1 Br 0.3336 0.0000 0.1894
```

# 13
Computed X-ray diffraction stick pattern of Li2ScBr4 for Cu Kα X-rays, from DFT lattice parameters and positions (PBE).
Lines closer than 0.1° are merged.

Top 6 peaks for 2θ = 10–80°, low angle first:
2θ/deg	d (Å)	intensity
27.4	3.257	28.0
29.3	3.048	48.3
30.2	2.956	100.0
38.8	2.323	25.7
46.2	1.965	24.6
50.2	1.816	22.3

```
data_Li2ScBr4
_cell_length_a 14.7280
_cell_length_b 3.7819
_cell_length_c 6.9015
_cell_angle_alpha 90.00
_cell_angle_beta 117.81
_cell_angle_gamma 90.00
_space_group_name_H-M_alt 'C 1 2/m 1'
_space_group_IT_number 12
_space_group_name_Hall '-C 2y'
loop_
_atom_site_label
_atom_site_type_symbol
_atom_site_fract_x
_atom_site_fract_y
_atom_site_fract_z
Li1 Li 0.2342 0.0000 0.2659
Sc1 Sc 0.0000 0.5000 0.5000
Br1 Br 0.1239 0.5000 0.3065
Br2 Br 0.1327 0.0000 0.7936
```

# 14
Computed X-ray diffraction stick pattern of LiScBr3 for Cu Kα X-rays, from DFT lattice parameters and positions (PBE).
Lines closer than 0.1° are merged.

Top 6 peaks for 2θ = 10–80°, low angle first:
2θ/deg	d (Å)	intensity
27.2	3.274	74.4
28.9	3.089	47.1
29.5	3.028	100.0
29.7	3.006	89.8
30.2	2.961	44.9
30.6	2.922	89.3

```
data_LiScBr3
_cell_length_a 6.5919
_cell_length_b 6.6474
_cell_length_c 7.4515
_cell_angle_alpha 66.66
_cell_angle_beta 65.36
_cell_angle_gamma 63.02
_space_group_name_H-M_alt 'P -1'
_space_group_IT_number 2
_space_group_name_Hall '-P 1'
loop_
_atom_site_label
_atom_site_type_symbol
_atom_site_fract_x
_atom_site_fract_y
_atom_site_fract_z
Li1 Li 0.1409 0.1654 0.0344
Sc1 Sc 0.3649 0.3623 0.4873
Br1 Br 0.0686 0.4337 0.2562
Br2 Br 0.2497 0.9420 0.7296
Br3 Br 0.4364 0.7560 0.2153
```